# 1
Computed powder diffractogram of Y3Al12Os4 for copper Kα, from a crystal structure in the Materials Project, relaxed with PBE.
No peak broadening, texture or thermal motion is included.

Crystal structure
```
Y3Al12Os4
1.0
8.8520 0.0000 0.0000
-4.4260 7.6661 0.0000
0.0000 0.0000 9.5738
Y Al Os
6 24 8
direct
0.1929 0.3857 0.2500
0.1929 0.8071 0.2500
0.3857 0.1929 0.7500
0.6143 0.8071 0.2500
0.8071 0.1929 0.7500
0.8071 0.6143 0.7500
0.0000 0.0000 0.2500
0.0000 0.0000 0.7500
0.1199 0.5600 0.7500
0.1628 0.3256 0.5757
0.1628 0.3256 0.9243
0.1628 0.8372 0.5757
0.1628 0.8372 0.9243
0.3256 0.1628 0.0757
0.3256 0.1628 0.4243
0.3333 0.6667 0.0143
0.3333 0.6667 0.4857
0.4400 0.5600 0.7500
0.4400 0.8801 0.7500
0.5600 0.1199 0.2500
0.5600 0.4400 0.2500
0.6667 0.3333 0.5143
0.6667 0.3333 0.9857
0.6744 0.8372 0.5757
0.6744 0.8372 0.9243
0.8372 0.1628 0.0757
0.8372 0.1628 0.4243
0.8372 0.6744 0.0757
0.8372 0.6744 0.4243
0.8801 0.4400 0.2500
0.0000 0.0000 0.0000
0.0000 0.0000 0.5000
0.0000 0.5000 0.0000
0.0000 0.5000 0.5000
0.5000 0.0000 0.0000
0.5000 0.0000 0.5000
0.5000 0.5000 0.0000
0.5000 0.5000 0.5000
```

Top 10 peaks for 2θ from 10° to 90°, in order of rising 2θ:
- d 4.787, intensity 25.7
- d 3.833, intensity 58.8
- d 2.992, intensity 100.0
- d 2.393, intensity 21.7
- d 2.213, intensity 56.2
- d 2.030, intensity 30.6
- d 2.009, intensity 28.9
- d 1.779, intensity 22.9
- d 1.625, intensity 28.7
- d 1.387, intensity 21.2


# 2
Computed powder diffractogram of ZrAlOs for copper Kα, from a crystal structure in the Materials Project, relaxed with PBE.
No peak broadening, texture or thermal motion is included.

Crystal structure
```
ZrAlOs
1.0
8.4365 0.0000 0.0000
0.0000 2.6774 4.5713
0.0000 -2.6774 4.5713
Zr Al Os
4 4 4
direct
0.1793 0.0000 0.0000
0.2981 0.6622 0.6622
0.7019 0.6622 0.6622
0.8207 0.0000 0.0000
0.2494 0.3217 0.3217
0.5000 0.1559 0.6705
0.5000 0.6705 0.1559
0.7506 0.3217 0.3217
0.0000 0.4910 0.4910
0.0000 0.4943 0.9872
0.0000 0.9872 0.4943
0.5000 0.1574 0.1574
```

Top 10 peaks for 2θ from 10° to 90°, in order of rising 2θ:
- d 8.437, intensity 100.0
- d 4.218, intensity 40.9
- d 4.053, intensity 29.3
- d 3.115, intensity 23.5
- d 2.402, intensity 66.3
- d 2.310, intensity 27.8
- d 2.243, intensity 69.5
- d 2.228, intensity 97.1
- d 2.206, intensity 46.4
- d 1.363, intensity 28.9


# 3
Computed powder diffractogram of AlP2 for copper Kα, from a crystal structure in the Materials Project, relaxed with PBE.
No peak broadening, texture or thermal motion is included.

Crystal structure
```
AlP2
1.0
-3.6163 4.3117 6.9434
3.6163 -4.3117 6.9434
3.6163 4.3117 -6.9434
Al P
8 16
direct
0.0048 0.1735 0.4195
0.2460 0.3265 0.3313
0.2540 0.5853 0.0805
0.4952 0.9147 0.1687
0.5048 0.0853 0.8313
0.7460 0.4147 0.9195
0.7540 0.6735 0.6687
0.9952 0.8265 0.5805
0.0000 0.0000 0.0000
0.0000 0.5000 0.5000
0.0165 0.2665 0.7500
0.1823 0.7500 0.9323
0.2500 0.1148 0.8648
0.2500 0.6148 0.3648
0.3177 0.2500 0.5677
0.4835 0.2335 0.2500
0.5000 0.0000 0.5000
0.5000 0.5000 0.0000
0.5165 0.7665 0.7500
0.6823 0.7500 0.4323
0.7500 0.3852 0.6352
0.7500 0.8852 0.1352
0.8177 0.2500 0.0677
0.9835 0.7335 0.2500
```

Top 10 peaks for 2θ from 10° to 90°, in order of rising 2θ:
- d 3.472, intensity 38.7
- d 2.892, intensity 63.2
- d 2.706, intensity 35.4
- d 2.573, intensity 100.0
- d 2.504, intensity 31.3
- d 2.222, intensity 54.3
- d 1.852, intensity 28.2
- d 1.831, intensity 45.5
- d 1.776, intensity 26.3
- d 1.736, intensity 26.8


# 4
Computed powder diffractogram of AlPPd4 for copper Kα, from a crystal structure in the Materials Project, relaxed with PBE.
No peak broadening, texture or thermal motion is included.

Crystal structure
```
AlPPd4
1.0
6.6609 0.0000 0.0000
0.0000 3.4644 0.0000
-0.0208 0.0000 11.5204
Al P Pd
3 3 12
direct
0.0000 0.0000 0.0000
0.0038 0.0000 0.6679
0.5031 0.0000 0.5022
0.4986 0.0000 0.1672
0.5033 0.5000 0.8337
0.9989 0.5000 0.3345
0.1318 0.0000 0.4609
0.1382 0.0000 0.2038
0.2455 0.0000 0.8358
0.3038 0.5000 0.6354
0.3088 0.5000 0.0360
0.4007 0.5000 0.3292
0.6253 0.0000 0.9705
0.6321 0.0000 0.7071
0.7379 0.0000 0.3286
0.7998 0.5000 0.1394
0.8046 0.5000 0.5298
0.8934 0.5000 0.8358
```

Top 10 peaks for 2θ from 10° to 90°, in order of rising 2θ:
- d 3.328, intensity 17.4
- d 2.400, intensity 100.0
- d 2.216, intensity 25.6
- d 2.215, intensity 12.8
- d 2.179, intensity 42.8
- d 1.921, intensity 20.9
- d 1.732, intensity 14.9
- d 1.356, intensity 18.1
- d 1.287, intensity 10.9
- d 1.236, intensity 11.8